No. 1
For Y8H, a structure optimized by DFT (PBE) gives the computed X-ray powder pattern in this record (a wavelength of 1.5418 Å).

Peak list (10 most intense, 2θ = 5–70°, in order of rising 2θ)
2θ 28.3, intensity 24.0
2θ 31.6, intensity 23.8
2θ 32.5, intensity 100.0
2θ 42.9, intensity 15.2
2θ 50.0, intensity 19.2
2θ 56.8, intensity 19.3
2θ 58.4, intensity 2.9
2θ 60.4, intensity 21.2
2θ 60.9, intensity 15.5
2θ 68.0, intensity 3.7

Structure:
```
Y8H
1.0
7.294 0.000 0.000
-3.647 6.316 0.000
0.000 0.000 5.669
Y H
8 1
direct
0.165 0.331 0.249
0.165 0.835 0.249
0.331 0.165 0.751
0.333 0.667 0.742
0.667 0.333 0.258
0.669 0.835 0.249
0.835 0.165 0.751
0.835 0.669 0.751
0.000 0.000 0.500
```

---

No. 2
For CaY2NpO8, a structure optimized by DFT (PBE) gives the computed X-ray powder pattern in this record (a wavelength of 1.5418 Å).

Peak list (10 most intense, 2θ = 5–70°, in order of rising 2θ)
2θ 11.7, intensity 83.2
2θ 20.6, intensity 39.8
2θ 25.3, intensity 27.1
2θ 27.4, intensity 59.3
2θ 29.0, intensity 52.4
2θ 29.1, intensity 100.0
2θ 32.7, intensity 38.5
2θ 47.0, intensity 41.8
2θ 49.1, intensity 36.0
2θ 56.3, intensity 23.5

Structure:
```
CaY2NpO8
1.0
3.985 0.000 0.000
0.000 7.559 0.000
-0.303 0.000 5.235
Ca Y Np O
1 2 1 8
direct
0.000 0.000 0.000
0.500 0.254 0.500
0.500 0.746 0.500
0.000 0.500 0.000
0.023 0.287 0.759
0.023 0.713 0.759
0.466 0.500 0.230
0.500 0.000 0.263
0.500 0.000 0.737
0.534 0.500 0.770
0.977 0.287 0.241
0.977 0.713 0.241
```

---

No. 3
For MnVN, a structure optimized by DFT (PBE) gives the computed X-ray powder pattern in this record (a wavelength of 1.5418 Å).

Peak list (9 most intense, 2θ = 5–70°, in order of rising 2θ)
2θ 25.1, intensity 4.5
2θ 39.5, intensity 100.0
2θ 41.7, intensity 1.4
2θ 45.5, intensity 52.4
2θ 46.9, intensity 23.7
2θ 52.7, intensity 0.7
2θ 63.4, intensity 0.6
2θ 66.3, intensity 14.7
2θ 67.4, intensity 27.9

Structure:
```
MnVN
1.0
-1.994 1.994 3.874
1.994 -1.994 3.874
1.994 1.994 -3.874
Mn V N
2 2 2
direct
0.000 0.000 0.000
0.750 0.250 0.500
0.248 0.748 0.500
0.498 0.498 0.000
0.496 0.996 0.500
0.746 0.746 0.000
```

---

No. 4
For Os5Ru2W2, a structure optimized by DFT (PBE) gives the computed X-ray powder pattern in this record (a wavelength of 1.5418 Å).

Peak list (10 most intense, 2θ = 5–70°, in order of rising 2θ)
2θ 32.3, intensity 12.8
2θ 38.7, intensity 65.6
2θ 41.2, intensity 100.0
2θ 42.0, intensity 42.2
2θ 43.8, intensity 29.6
2θ 44.2, intensity 42.9
2θ 45.4, intensity 23.7
2θ 64.0, intensity 19.4
2θ 65.2, intensity 16.3
2θ 69.5, intensity 10.5

Structure:
```
Os5Ru2W2
1.0
4.292 -2.049 0.000
4.292 2.049 0.000
-1.248 0.000 7.763
Os Ru W
5 2 2
direct
0.000 0.000 0.000
0.054 0.054 0.670
0.366 0.366 0.774
0.634 0.634 0.226
0.946 0.946 0.330
0.262 0.262 0.423
0.738 0.738 0.577
0.327 0.327 0.117
0.673 0.673 0.883
```

---

No. 5
For DyFeGe2, a structure optimized by DFT (PBE) gives the computed X-ray powder pattern in this record (a wavelength of 1.5418 Å).

Peak list (10 most intense, 2θ = 5–70°, in order of rising 2θ)
2θ 26.6, intensity 27.6
2θ 33.9, intensity 100.0
2θ 34.5, intensity 36.4
2θ 35.1, intensity 44.5
2θ 36.0, intensity 42.8
2θ 37.0, intensity 80.3
2θ 37.7, intensity 38.7
2θ 43.6, intensity 59.8
2θ 43.7, intensity 43.9
2θ 48.4, intensity 27.8

Structure:
```
DyFeGe2
1.0
6.846 0.000 0.000
0.000 4.152 0.000
0.000 0.000 9.990
Dy Fe Ge
4 4 8
direct
0.176 0.250 0.127
0.324 0.750 0.627
0.676 0.250 0.373
0.824 0.750 0.873
0.020 0.750 0.389
0.480 0.250 0.889
0.520 0.750 0.111
0.980 0.250 0.611
0.132 0.250 0.818
0.182 0.250 0.427
0.318 0.750 0.927
0.368 0.750 0.318
0.632 0.250 0.682
0.682 0.250 0.073
0.818 0.750 0.573
0.868 0.750 0.182
```

---

No. 6
For TlCdPbF6, a structure optimized by DFT (PBE) gives the computed X-ray powder pattern in this record (a wavelength of 1.5418 Å).

Peak list (10 most intense, 2θ = 5–70°, in order of rising 2θ)
2θ 24.7, intensity 100.0
2θ 28.5, intensity 56.8
2θ 34.2, intensity 8.2
2θ 38.1, intensity 32.7
2θ 47.6, intensity 44.3
2θ 48.3, intensity 33.6
2θ 50.5, intensity 21.8
2θ 60.0, intensity 8.8
2θ 64.4, intensity 10.2
2θ 65.0, intensity 13.9

Structure:
```
TlCdPbF6
1.0
6.255 0.000 0.000
-3.127 5.417 0.000
0.000 0.000 9.655
Tl Cd Pb F
2 2 2 12
direct
0.000 0.000 0.000
0.000 0.000 0.500
0.333 0.667 0.250
0.667 0.333 0.750
0.333 0.667 0.750
0.667 0.333 0.250
0.021 0.350 0.131
0.021 0.671 0.369
0.329 0.350 0.369
0.329 0.979 0.131
0.350 0.021 0.631
0.350 0.329 0.869
0.650 0.671 0.131
0.650 0.979 0.369
0.671 0.021 0.869
0.671 0.650 0.631
0.979 0.329 0.631
0.979 0.650 0.869
```

---

No. 7
For SmCoNi2H8, a structure optimized by DFT (PBE) gives the computed X-ray powder pattern in this record (a wavelength of 1.5418 Å).

Peak list (10 most intense, 2θ = 5–70°, in order of rising 2θ)
2θ 24.0, intensity 40.7
2θ 25.9, intensity 22.2
2θ 32.6, intensity 100.0
2θ 33.9, intensity 17.8
2θ 36.9, intensity 41.5
2θ 41.0, intensity 80.7
2θ 53.3, intensity 24.3
2θ 54.2, intensity 28.0
2θ 63.5, intensity 19.3
2θ 69.4, intensity 21.1

Structure:
```
SmCoNi2H8
1.0
2.200 1.270 5.287
-2.200 1.270 5.287
0.000 -2.541 5.287
Sm Co Ni H
1 1 2 8
direct
0.000 0.000 0.000
0.500 0.500 0.500
0.208 0.208 0.208
0.792 0.792 0.792
0.156 0.409 0.790
0.210 0.844 0.591
0.308 0.308 0.308
0.409 0.790 0.156
0.591 0.210 0.844
0.692 0.692 0.692
0.790 0.156 0.409
0.844 0.591 0.210
```

---

No. 8
For CuHgSb2, a structure optimized by DFT (PBE) gives the computed X-ray powder pattern in this record (a wavelength of 1.5418 Å).

Peak list (10 most intense, 2θ = 5–70°, in order of rising 2θ)
2θ 24.2, intensity 31.7
2θ 30.4, intensity 62.4
2θ 31.2, intensity 23.7
2θ 35.2, intensity 100.0
2θ 41.9, intensity 14.8
2θ 42.1, intensity 24.3
2θ 45.0, intensity 19.6
2θ 47.5, intensity 16.8
2θ 57.4, intensity 20.9
2θ 67.0, intensity 17.0

Structure:
```
CuHgSb2
1.0
-1.916 2.013 6.470
1.916 -2.013 6.470
1.916 2.013 -6.470
Cu Hg Sb
1 1 2
direct
0.000 0.000 0.000
0.218 0.718 0.500
0.531 0.531 0.000
0.853 0.353 0.500
```

---

No. 9
For Rb3TeCl, a structure optimized by DFT (PBE) gives the computed X-ray powder pattern in this record (a wavelength of 1.5418 Å).

Peak list (10 most intense, 2θ = 5–70°, in order of rising 2θ)
2θ 15.7, intensity 32.7
2θ 21.7, intensity 27.0
2θ 26.0, intensity 82.6
2θ 26.5, intensity 21.8
2θ 27.7, intensity 50.1
2θ 29.1, intensity 100.0
2θ 29.9, intensity 20.6
2θ 30.0, intensity 21.3
2θ 36.3, intensity 23.7
2θ 43.1, intensity 23.2

Structure:
```
Rb3TeCl
1.0
9.261 -4.200 0.000
9.261 4.200 0.000
-1.510 0.000 5.948
Rb Te Cl
6 2 2
direct
0.000 0.500 0.000
0.211 0.789 0.000
0.350 0.350 0.560
0.500 0.000 0.000
0.650 0.650 0.440
0.789 0.211 0.000
0.154 0.154 0.387
0.846 0.846 0.613
0.397 0.397 0.099
0.603 0.603 0.901
```

---

No. 10
For Cs2Ni3S4, a structure optimized by DFT (PBE) gives the computed X-ray powder pattern in this record (a wavelength of 1.5418 Å).

Peak list (10 most intense, 2θ = 5–70°, in order of rising 2θ)
2θ 11.5, intensity 31.5
2θ 20.9, intensity 20.7
2θ 24.6, intensity 100.0
2θ 30.3, intensity 44.1
2θ 35.1, intensity 19.6
2θ 35.6, intensity 31.7
2θ 38.5, intensity 45.9
2θ 46.2, intensity 19.1
2θ 50.5, intensity 39.4
2θ 55.2, intensity 22.7

Structure:
```
Cs2Ni3S4
1.0
5.900 0.000 0.000
-2.950 5.110 0.000
0.000 0.000 15.371
Cs Ni S
4 6 8
direct
0.333 0.667 0.092
0.333 0.667 0.408
0.667 0.333 0.592
0.667 0.333 0.908
0.167 0.333 0.750
0.167 0.833 0.750
0.333 0.167 0.250
0.667 0.833 0.750
0.833 0.167 0.250
0.833 0.667 0.250
0.000 0.000 0.158
0.000 0.000 0.342
0.000 0.000 0.658
0.000 0.000 0.842
0.333 0.667 0.657
0.333 0.667 0.843
0.667 0.333 0.157
0.667 0.333 0.343
```

---

No. 11
For SrP2Ir, a structure optimized by DFT (PBE) gives the computed X-ray powder pattern in this record (a wavelength of 1.5418 Å).

Peak list (10 most intense, 2θ = 5–70°, in order of rising 2θ)
2θ 18.9, intensity 71.7
2θ 22.7, intensity 76.3
2θ 26.2, intensity 79.1
2θ 27.2, intensity 85.6
2θ 35.0, intensity 100.0
2θ 35.7, intensity 81.5
2θ 38.3, intensity 49.4
2θ 44.7, intensity 64.2
2θ 54.0, intensity 31.0
2θ 61.2, intensity 36.2

Structure:
```
SrP2Ir
1.0
4.699 0.000 0.000
0.000 3.922 0.000
-0.163 0.000 4.741
Sr P Ir
1 2 1
direct
0.000 0.000 0.000
0.472 0.500 0.772
0.528 0.500 0.228
0.500 0.000 0.500
```

---

No. 12
For BaBiIrPd2, a structure optimized by DFT (PBE) gives the computed X-ray powder pattern in this record (a wavelength of 1.5418 Å).

Peak list (10 most intense, 2θ = 5–70°, in order of rising 2θ)
2θ 24.5, intensity 28.8
2θ 27.8, intensity 62.2
2θ 28.2, intensity 100.0
2θ 34.9, intensity 68.9
2θ 37.4, intensity 20.0
2θ 45.2, intensity 66.9
2θ 49.5, intensity 21.8
2θ 50.2, intensity 24.7
2θ 58.4, intensity 31.5
2θ 58.6, intensity 26.3

Structure:
```
BaBiIrPd2
1.0
5.141 0.000 0.000
0.000 5.141 0.000
0.000 0.000 6.411
Ba Bi Ir Pd
1 1 1 2
direct
0.000 0.000 0.000
0.000 0.000 0.500
0.500 0.500 0.500
0.000 0.500 0.000
0.500 0.000 0.000
```